No. 1
This entry pairs a crystal structure of Li2Mn3B3O9 with its calculated XRD peak list. Radiation: Cu Kα (weighted mean of Kα1 and Kα2). Structure: a cell relaxed with PBE+U.
No peak broadening, texture or thermal motion is included.

Atomic structure:
Unit cell a=5.862 b=8.287 c=9.067 alpha=112.66 beta=102.26 gamma=102.11
Fractional coordinates of all 34 atoms:
Li1 0.000 0.000 0.000
Li2 0.124 0.774 0.453
Li3 0.483 0.106 0.115
Li4 0.803 0.447 0.788
Mn1 0.202 0.757 0.116
Mn2 0.318 0.378 0.018
Mn3 0.519 0.078 0.771
Mn4 0.618 0.683 0.670
Mn5 0.850 0.408 0.426
Mn6 0.963 0.030 0.362
B1 0.184 0.753 0.773
B2 0.298 0.341 0.335
B3 0.524 0.092 0.454
B4 0.647 0.700 0.017
B5 0.866 0.421 0.110
B6 0.972 0.017 0.689
O1 0.134 0.316 0.424
O2 0.211 0.143 0.786
O3 0.235 0.239 0.165
O4 0.253 0.865 0.943
O5 0.302 0.949 0.374
O6 0.322 0.801 0.676
O7 0.502 0.654 0.107
O8 0.536 0.466 0.432
O9 0.585 0.594 0.847
O10 0.621 0.192 0.626
O11 0.649 0.270 0.030
O12 0.652 0.137 0.352
O13 0.813 0.986 0.782
O14 0.865 0.852 0.105
O15 0.902 0.916 0.521
O16 0.951 0.524 0.284
O17 0.969 0.601 0.685
O18 0.995 0.471 0.013

The 10 most intense peaks (5° ≤ 2θ ≤ 70°), sorted by position:
index, d/Å, two_theta, I_rel
0 1 -2, 4.404, 20.2, 86
1 1 -1, 4.275, 20.8, 24
0 2 -1, 4.051, 21.9, 45
1 0 1, 3.918, 22.7, 67
0 0 3, 2.639, 34.0, 55
2 -2 0, 2.610, 34.4, 100
0 3 -3, 2.396, 37.5, 23
1 3 -2, 2.267, 39.8, 25
0 2 2, 2.219, 40.7, 31
-2 4 2, 1.510, 61.4, 27

***

No. 2
This entry pairs a crystal structure of Li2Mn3B3O9 with its calculated XRD peak list. Radiation: Cu Kα (weighted mean of Kα1 and Kα2). Structure: a cell relaxed with PBE+U.
No peak broadening, texture or thermal motion is included.

Atomic structure:
Unit cell a=5.293 b=6.201 c=11.783 alpha=84.48 beta=79.00 gamma=87.46
Fractional coordinates of all 34 atoms:
Li1 0.022 0.294 0.134
Li2 0.346 0.641 0.457
Li3 0.654 0.359 0.543
Li4 0.978 0.706 0.866
Mn1 0.144 0.132 0.879
Mn2 0.191 0.192 0.448
Mn3 0.484 0.466 0.211
Mn4 0.516 0.534 0.789
Mn5 0.809 0.808 0.552
Mn6 0.856 0.868 0.121
B1 0.090 0.427 0.668
B2 0.245 0.885 0.663
B3 0.419 0.741 0.004
B4 0.581 0.259 0.996
B5 0.755 0.115 0.337
B6 0.910 0.573 0.332
O1 0.065 0.957 0.749
O2 0.154 0.454 0.777
O3 0.164 0.529 0.344
O4 0.175 0.808 0.985
O5 0.201 0.883 0.549
O6 0.278 0.376 0.577
O7 0.388 0.318 0.085
O8 0.482 0.743 0.115
O9 0.484 0.796 0.683
O10 0.516 0.204 0.317
O11 0.518 0.257 0.885
O12 0.612 0.682 0.915
O13 0.722 0.624 0.423
O14 0.799 0.117 0.451
O15 0.825 0.192 0.015
O16 0.836 0.471 0.656
O17 0.846 0.546 0.223
O18 0.935 0.043 0.251

The 10 most intense peaks (5° ≤ 2θ ≤ 70°), sorted by position:
index, d/Å, two_theta, I_rel
0 1 2, 4.412, 20.1, 100
1 0 2, 4.277, 20.8, 29
1 1 1, 4.069, 21.8, 53
1 -1 0, 3.923, 22.7, 81
-1 1 3, 2.638, 34.0, 67
0 2 -2, 2.624, 34.2, 95
1 1 4, 2.607, 34.4, 27
1 2 3, 2.406, 37.4, 27
2 1 3, 2.271, 39.7, 31
2 0 -2, 2.217, 40.7, 38

***

No. 3
This entry pairs a crystal structure of LiMn2B2O6 with its calculated XRD peak list. Radiation: Cu Kα (weighted mean of Kα1 and Kα2). Structure: a cell relaxed with PBE+U.
No peak broadening, texture or thermal motion is included.

Atomic structure:
Unit cell a=5.323 b=9.048 c=10.363 alpha=90.00 beta=91.96 gamma=90.00
Fractional coordinates of all 44 atoms:
Li1 0.000 0.003 0.000
Li2 0.000 0.997 0.500
Li3 0.764 0.482 0.750
Li4 0.764 0.518 0.250
Mn1 0.276 0.303 0.215
Mn2 0.276 0.697 0.715
Mn3 0.484 0.195 0.958
Mn4 0.484 0.805 0.458
Mn5 0.786 0.148 0.707
Mn6 0.786 0.852 0.207
Mn7 0.979 0.346 0.471
Mn8 0.979 0.654 0.971
B1 0.288 0.351 0.720
B2 0.288 0.649 0.220
B3 0.475 0.148 0.454
B4 0.475 0.852 0.954
B5 0.813 0.188 0.201
B6 0.813 0.812 0.701
B7 0.958 0.313 0.957
B8 0.958 0.687 0.457
O1 0.038 0.329 0.677
O2 0.038 0.671 0.177
O3 0.195 0.301 0.019
O4 0.195 0.699 0.519
O5 0.345 0.272 0.400
O6 0.345 0.728 0.900
O7 0.352 0.019 0.465
O8 0.352 0.981 0.965
O9 0.406 0.482 0.711
O10 0.406 0.518 0.211
O11 0.424 0.228 0.773
O12 0.424 0.772 0.273
O13 0.566 0.198 0.152
O14 0.566 0.802 0.652
O15 0.725 0.166 0.498
O16 0.725 0.834 0.998
O17 0.841 0.178 0.921
O18 0.841 0.822 0.421
O19 0.846 0.443 0.935
O20 0.846 0.557 0.435
O21 0.920 0.320 0.249
O22 0.920 0.680 0.749
O23 0.943 0.061 0.194
O24 0.943 0.939 0.694

The 10 most intense peaks (5° ≤ 2θ ≤ 70°), sorted by position:
index, d/Å, two_theta, I_rel
1 1 0, 4.586, 19.4, 28
0 2 0, 4.524, 19.6, 70
1 1 1, 4.148, 21.4, 100
1 1 -2, 3.485, 25.6, 46
1 1 2, 3.384, 26.3, 29
1 3 0, 2.624, 34.2, 50
0 0 4, 2.589, 34.6, 69
2 2 -1, 2.253, 40.0, 25
1 1 5, 1.867, 48.8, 25
3 3 0, 1.528, 60.6, 25

***

No. 4
This entry pairs a crystal structure of LiMn2B2O6 with its calculated XRD peak list. Radiation: Cu Kα (weighted mean of Kα1 and Kα2). Structure: a cell relaxed with PBE+U.
No peak broadening, texture or thermal motion is included.

Atomic structure:
Unit cell a=5.301 b=5.794 c=8.172 alpha=79.64 beta=89.96 gamma=89.83
Fractional coordinates of all 22 atoms:
Li1 0.161 0.445 0.235
Li2 0.839 0.555 0.765
Mn1 0.202 0.155 0.583
Mn2 0.322 0.312 0.931
Mn3 0.678 0.688 0.069
Mn4 0.798 0.845 0.417
B1 0.171 0.826 0.912
B2 0.325 0.654 0.597
B3 0.675 0.346 0.403
B4 0.829 0.174 0.088
O1 0.080 0.190 0.114
O2 0.177 0.837 0.515
O3 0.190 0.458 0.685
O4 0.302 0.645 0.015
O5 0.306 0.017 0.827
O6 0.419 0.336 0.394
O7 0.581 0.664 0.606
O8 0.694 0.983 0.173
O9 0.698 0.355 0.985
O10 0.810 0.542 0.315
O11 0.823 0.163 0.485
O12 0.920 0.810 0.886

The 10 most intense peaks (5° ≤ 2θ ≤ 70°), sorted by position:
index, d/Å, two_theta, I_rel
1 0 -1, 4.425, 20.1, 100
0 0 2, 4.019, 22.1, 51
1 -1 0, 3.878, 22.9, 77
2 0 0, 2.651, 33.8, 34
1 -1 2, 2.635, 34.0, 39
0 2 2, 2.551, 35.2, 67
1 0 -3, 2.391, 37.6, 34
2 1 -1, 2.258, 39.9, 22
2 0 2, 2.213, 40.8, 30
3 0 -1, 1.725, 53.1, 32

***

No. 5
This entry pairs a crystal structure of LiMn2B2O6 with its calculated XRD peak list. Radiation: Cu Kα (weighted mean of Kα1 and Kα2). Structure: a cell relaxed with PBE+U.
No peak broadening, texture or thermal motion is included.

Atomic structure:
Unit cell a=5.791 b=9.178 c=9.815 alpha=81.24 beta=79.84 gamma=75.86
Fractional coordinates of all 44 atoms:
Li1 0.000 0.000 0.000
Li2 0.086 0.615 0.260
Li3 0.571 0.614 0.762
Li4 0.830 0.114 0.519
Mn1 0.161 0.936 0.263
Mn2 0.188 0.203 0.744
Mn3 0.406 0.398 0.015
Mn4 0.422 0.704 0.497
Mn5 0.643 0.927 0.780
Mn6 0.666 0.196 0.256
Mn7 0.899 0.434 0.521
Mn8 0.930 0.670 0.993
B1 0.139 0.271 0.280
B2 0.179 0.854 0.757
B3 0.394 0.750 0.023
B4 0.434 0.359 0.503
B5 0.656 0.270 0.767
B6 0.695 0.857 0.239
B7 0.897 0.773 0.526
B8 0.930 0.335 0.997
O1 0.000 0.202 0.942
O2 0.026 0.150 0.328
O3 0.060 0.409 0.330
O4 0.074 0.441 0.973
O5 0.085 0.754 0.413
O6 0.209 0.392 0.587
O7 0.265 0.723 0.702
O8 0.285 0.630 0.065
O9 0.305 0.888 0.073
O10 0.309 0.967 0.739
O11 0.334 0.249 0.175
O12 0.475 0.886 0.329
O13 0.524 0.223 0.457
O14 0.537 0.154 0.804
O15 0.566 0.472 0.482
O16 0.577 0.405 0.824
O17 0.590 0.737 0.913
O18 0.711 0.371 0.086
O19 0.777 0.656 0.572
O20 0.785 0.723 0.190
O21 0.825 0.906 0.584
O22 0.826 0.973 0.209
O23 0.853 0.251 0.660
O24 0.959 0.881 0.852

The 10 most intense peaks (5° ≤ 2θ ≤ 70°), sorted by position:
index, d/Å, two_theta, I_rel
0 1 2, 4.433, 20.0, 100
1 1 -1, 4.261, 20.8, 23
0 1 -2, 4.029, 22.1, 50
1 2 1, 3.911, 22.7, 64
0 3 2, 2.650, 33.8, 30
1 3 -1, 2.629, 34.1, 20
2 0 2, 2.572, 34.9, 64
0 0 4, 2.399, 37.5, 23
0 4 0, 2.210, 40.8, 25
3 2 3, 1.766, 51.8, 20